Computed powder diffractogram of TiCr7O12 for a wavelength of 1.5418 Å, from a crystal structure in the Materials Project, relaxed with PBE+U.
No peak broadening, texture or thermal motion is included.

Peak list (10 most intense, 5° ≤ 2θ ≤ 70°, in order of falling intensity)
| two_theta | I (rel.) | index |
| --- | --- | --- |
| 32.91 | 100 | 0 2 0 |
| 35.28 | 87 | 2 0 0 |
| 53.63 | 78 | 1 3 0 |
| 23.94 | 56 | 1 1 0 |
| 49.01 | 42 | 0 0 4 |
| 63.31 | 40 | 3 1 2 |
| 61.82 | 34 | 3 -1 2 |
| 40.49 | 28 | 1 0 3 |
| 56.86 | 5 | 2 2 2 |
| 39.04 | 4 | 0 2 -2 |

Cell and atoms:
```
data_TiCr7O12
_symmetry_space_group_name_H-M 'P 1'
_symmetry_Int_Tables_number 1
_cell_length_a 5.0882
_cell_length_b 5.4670
_cell_length_c 7.4756
_cell_angle_alpha 95.67
_cell_angle_beta 90.05
_cell_angle_gamma 90.00
loop_
_symmetry_equiv_pos_as_xyz
'x,y,z'
loop_
_atom_site_label
_atom_site_type_symbol
_atom_site_fract_x
_atom_site_fract_y
_atom_site_fract_z
Ti1 Ti 0.0000 0.0000 0.0000
Cr1 Cr 0.4994 0.4951 0.5036
Cr2 Cr 0.5005 0.0944 0.2047
Cr3 Cr 0.5004 0.0973 0.7012
Cr4 Cr 0.4997 0.4951 0.0040
Cr5 Cr 0.9989 0.5946 0.7027
Cr6 Cr 0.9989 0.5965 0.2037
Cr7 Cr 0.9995 0.9936 0.5033
O1 O 0.1491 0.9473 0.7589
O2 O 0.1503 0.6452 0.4535
O3 O 0.1928 0.2890 0.1024
O4 O 0.2971 0.7973 0.1046
O5 O 0.3489 0.1458 0.4521
O6 O 0.3486 0.4452 0.7530
O7 O 0.6493 0.4450 0.2540
O8 O 0.6567 0.1387 0.9530
O9 O 0.6989 0.7953 0.6035
O10 O 0.8012 0.2958 0.6027
O11 O 0.8491 0.9454 0.2529
O12 O 0.8529 0.6451 0.9536
```

Computed powder diffractogram of LaFe4Cu3O12 for a wavelength of 1.5418 Å, from a crystal structure in the Materials Project, relaxed with PBE+U.
No peak broadening, texture or thermal motion is included.

Peak list (10 most intense, 5° ≤ 2θ ≤ 70°, in order of falling intensity)
| two_theta | I (rel.) | index |
| --- | --- | --- |
| 33.76 | 100 | 2 0 2 |
| 60.39 | 48 | 4 2 2 |
| 48.46 | 16 | 0 0 4 |
| 37.89 | 9 | 3 0 1 |
| 16.70 | 8 | 0 1 1 |
| 45.18 | 8 | 3 1 2 |
| 48.56 | 8 | 4 0 0 |
| 41.67 | 4 | 2 2 2 |
| 23.70 | 4 | 0 2 0 |
| 29.13 | 2 | 2 1 1 |

Cell and atoms:
```
data_LaFe4Cu3O12
_symmetry_space_group_name_H-M 'I m m m'
_symmetry_Int_Tables_number 71
_symmetry_space_group_name_Hall '-I 2 2'
_cell_length_a 7.4997
_cell_length_b 7.5080
_cell_length_c 7.5186
_cell_angle_alpha 90.00
_cell_angle_beta 90.00
_cell_angle_gamma 90.00
loop_
_atom_site_label
_atom_site_type_symbol
_atom_site_fract_x
_atom_site_fract_y
_atom_site_fract_z
La1 La 0.0000 0.0000 0.0000
Fe1 Fe 0.2500 0.2500 0.2500
Cu1 Cu 0.0000 0.0000 0.5000
Cu2 Cu 0.0000 0.5000 0.0000
Cu3 Cu 0.0000 0.5000 0.5000
O1 O 0.0000 0.3115 0.1672
O2 O 0.1672 0.0000 0.3115
O3 O 0.1879 0.3335 0.5000
```

Computed powder diffractogram of K2Fe2P2O7F2 for a wavelength of 1.5418 Å, from a crystal structure in the Materials Project, relaxed with PBE+U.
No peak broadening, texture or thermal motion is included.

Peak list (10 most intense, 5° ≤ 2θ ≤ 70°, in order of falling intensity)
| two_theta | I (rel.) | index |
| --- | --- | --- |
| 27.83 | 100 | 1 3 2 |
| 10.67 | 58 | 0 2 0 |
| 14.02 | 57 | 0 2 1 |
| 16.97 | 46 | 1 1 1 |
| 14.31 | 20 | 1 1 0 |
| 49.90 | 17 | 0 6 4 |
| 42.48 | 14 | 2 6 0 |
| 39.30 | 14 | 2 4 2 |
| 25.05 | 13 | 1 2 2 |
| 46.15 | 13 | 2 0 4 |

Cell and atoms:
```
data_K2Fe2P2O7F2
_symmetry_space_group_name_H-M 'P b c n'
_symmetry_Int_Tables_number 60
_cell_length_a 6.6694
_cell_length_b 16.5862
_cell_length_c 9.7436
_cell_angle_alpha 90.00
_cell_angle_beta 90.00
_cell_angle_gamma 90.00
loop_
_symmetry_equiv_pos_as_xyz
'x,y,z'
'-x,-y,-z'
'-x+1/2,-y+1/2,z+1/2'
'x+1/2,y+1/2,-z+1/2'
'x+1/2,-y+1/2,-z'
'-x+1/2,y+1/2,z'
'-x,y,-z+1/2'
'x,-y,z+1/2'
loop_
_atom_site_label
_atom_site_type_symbol
_atom_site_fract_x
_atom_site_fract_y
_atom_site_fract_z
K1 K 0.0878 0.1696 0.0257
Fe1 Fe 0.0000 0.3426 0.2500
Fe2 Fe 0.0000 0.5000 0.0000
P1 P 0.2263 0.0281 0.7122
O1 O 0.0000 0.0037 0.7500
O2 O 0.1760 0.4447 0.3490
O3 O 0.1885 0.4509 0.6496
O4 O 0.2424 0.0992 0.6117
F1 F 0.1670 0.2609 0.3428
```